Entry 1:
For NaS5F, a DFT-relaxed cell (PBE, Alexandria) gives the theoretical powder XRD pattern in this record (Cu Kα (weighted mean of Kα1 and Kα2)).

Cell and atoms:
```
data_NaS5F
_chemical_formula_sum 'Na1 S5 F1'
_cell_length_a 4.305
_cell_length_b 5.590
_cell_length_c 9.279
_cell_angle_alpha 98.63
_cell_angle_beta 94.90
_cell_angle_gamma 112.25
_symmetry_space_group_name_H-M 'P 1'
_symmetry_Int_Tables_number 1
loop_
_symmetry_equiv_pos_as_xyz
'x,y,z'
loop_
_atom_site_label
_atom_site_type_symbol
_atom_site_fract_x
_atom_site_fract_y
_atom_site_fract_z
_atom_site_occupancy
Na1 Na 0.000 0.000 0.000 1
S1 S 0.108 0.137 0.658 1
S2 S 0.230 0.473 0.784 1
S3 S 0.376 0.719 0.346 1
S4 S 0.607 0.570 0.190 1
S5 S 0.896 0.429 0.317 1
F1 F 0.467 0.936 0.993 1
```

Top 8 peaks for 2θ from 10° to 90°, by angle:
4.531 Å, intensity 29.3
4.094 Å, intensity 58.4
3.834 Å, intensity 39.1
3.770 Å, intensity 100.0
3.634 Å, intensity 26.3
3.421 Å, intensity 21.2
2.982 Å, intensity 50.9
2.408 Å, intensity 23.8

***

Entry 2:
For Ac2NdPb9, a DFT-relaxed cell (PBE, Alexandria) gives the theoretical powder XRD pattern in this record (Cu Kα (weighted mean of Kα1 and Kα2)).

Cell and atoms:
```
data_Ac2NdPb9
_chemical_formula_sum 'Ac2 Nd1 Pb9'
_cell_length_a 5.030
_cell_length_b 5.030
_cell_length_c 14.996
_cell_angle_alpha 90.00
_cell_angle_beta 90.00
_cell_angle_gamma 90.00
_symmetry_space_group_name_H-M 'P 4/m m m'
_symmetry_Int_Tables_number 123
_symmetry_space_group_name_Hall '-P 4 2'
loop_
_atom_site_label
_atom_site_type_symbol
_atom_site_fract_x
_atom_site_fract_y
_atom_site_fract_z
_atom_site_occupancy
Ac1 Ac 0.000 0.000 0.170 1
Nd1 Nd 0.000 0.000 0.500 1
Pb1 Pb 0.000 0.500 0.000 1
Pb2 Pb 0.000 0.500 0.340 1
Pb3 Pb 0.500 0.500 0.170 1
Pb4 Pb 0.500 0.500 0.500 1
```

Top 8 peaks for 2θ from 10° to 90°, by angle:
2.898 Å, intensity 100.0
2.515 Å, intensity 34.5
2.499 Å, intensity 16.5
1.778 Å, intensity 12.5
1.773 Å, intensity 24.1
1.516 Å, intensity 29.7
1.509 Å, intensity 13.9
1.449 Å, intensity 12.6

***

Entry 3:
For Tb2YTl9, a DFT-relaxed cell (PBE, Alexandria) gives the theoretical powder XRD pattern in this record (Cu Kα (weighted mean of Kα1 and Kα2)).

Cell and atoms:
```
data_Tb2YTl9
_chemical_formula_sum 'Tb2 Y1 Tl9'
_cell_length_a 4.773
_cell_length_b 4.773
_cell_length_c 14.317
_cell_angle_alpha 90.00
_cell_angle_beta 90.00
_cell_angle_gamma 90.00
_symmetry_space_group_name_H-M 'P 4/m m m'
_symmetry_Int_Tables_number 123
_symmetry_space_group_name_Hall '-P 4 2'
loop_
_atom_site_label
_atom_site_type_symbol
_atom_site_fract_x
_atom_site_fract_y
_atom_site_fract_z
_atom_site_occupancy
Tb1 Tb 0.000 0.000 0.167 1
Y1 Y 0.000 0.000 0.500 1
Tl1 Tl 0.000 0.500 0.000 1
Tl2 Tl 0.000 0.500 0.333 1
Tl3 Tl 0.500 0.500 0.167 1
Tl4 Tl 0.500 0.500 0.500 1
```

Top 8 peaks for 2θ from 10° to 90°, by angle:
4.773 Å, intensity 2.1
2.756 Å, intensity 100.0
2.386 Å, intensity 50.5
1.687 Å, intensity 35.6
1.439 Å, intensity 42.2
1.378 Å, intensity 12.2
1.193 Å, intensity 5.8
1.095 Å, intensity 18.6